Structure and calculated powder diffractogram of Li2SnBi5 (a GGA-PBE-relaxed structure; a wavelength of 1.5418 Å).
Peak positions follow from Bragg's law for the DFT cell and can differ from measured ones.

Crystal structure
Cell lengths 9.6766, 9.7066, 6.8192 Å; angles 90.00, 134.44, 90.00 degrees
Space group Cm (No. 8)
Symmetry-distinct sites (fractional):
Li 0.0000 0.2500 0.0000 x4
Sn 0.2495 0.0000 0.5001 x2
Bi 0.9995 0.2500 0.5001 x4
Bi 0.2495 0.5000 0.0002 x2
Bi 0.2494 0.5000 0.5002 x2
Bi 0.2495 0.0000 0.0001 x2

Peak list (8 most intense, 2θ from 10° to 90°, low angle first)
- 18.34 deg, rel. 32
- 25.95 deg, rel. 41
- 31.79 deg, rel. 100
- 32.08 deg, rel. 98
- 36.92 deg, rel. 34
- 37.05 deg, rel. 34
- 37.17 deg, rel. 33
- 63.49 deg, rel. 29

***

Structure and calculated powder diffractogram of SrLiBi2 (a GGA-PBE-relaxed structure; a wavelength of 1.5418 Å).
Peak positions follow from Bragg's law for the DFT cell and can differ from measured ones.

Crystal structure
Cell lengths 4.6705, 4.6705, 11.1669 Å; angles 90.00, 90.00, 90.00 degrees
Space group P4/nmm (No. 129, origin choice 2)
Symmetry-distinct sites (fractional):
Sr 0.2500 0.2500 0.2439 x2
Li 0.2500 0.7500 0.0000 x2
Bi 0.2500 0.2500 0.8538 x2
Bi 0.2500 0.7500 0.5000 x2

Peak list (8 most intense, 2θ from 10° to 90°, low angle first)
- 23.91 deg, rel. 56
- 24.85 deg, rel. 46
- 28.18 deg, rel. 100
- 31.47 deg, rel. 87
- 38.55 deg, rel. 52
- 42.40 deg, rel. 29
- 44.99 deg, rel. 22
- 45.87 deg, rel. 41

***

Structure and calculated powder diffractogram of SrLi6Bi4 (a GGA-PBE-relaxed structure; a wavelength of 1.5418 Å).
Peak positions follow from Bragg's law for the DFT cell and can differ from measured ones.

Crystal structure
Cell lengths 8.1760, 8.1760, 4.6547 Å; angles 90.00, 90.00, 120.00 degrees
Space group P-6m2 (No. 187)
Symmetry-distinct sites (fractional):
Sr 0.0000 0.0000 0.0000 x1
Li 0.2157 0.4315 0.5000 x3
Li 0.5332 0.0664 0.0000 x3
Bi 0.3333 0.6667 0.0000 x1
Bi 0.3795 0.1897 0.5000 x3

Peak list (8 most intense, 2θ from 10° to 90°, low angle first)
- 22.86 deg, rel. 80
- 25.15 deg, rel. 100
- 29.07 deg, rel. 57
- 31.76 deg, rel. 38
- 38.81 deg, rel. 39
- 42.97 deg, rel. 38
- 46.71 deg, rel. 40
- 60.31 deg, rel. 47

***

Structure and calculated powder diffractogram of Li3TbBi3 (a GGA-PBE-relaxed structure; a wavelength of 1.5418 Å).
Peak positions follow from Bragg's law for the DFT cell and can differ from measured ones.

Crystal structure
Cell lengths 9.0453, 9.0453, 16.8617 Å; angles 90.00, 90.00, 120.00 degrees
Space group R-3 (No. 148, hexagonal axes)
Symmetry-distinct sites (fractional):
Li 0.0049 0.2607 0.4218 x18
Tb 0.0000 0.0000 0.1947 x6
Bi 0.0321 0.4135 0.5840 x18

Peak list (8 most intense, 2θ from 10° to 90°, low angle first)
- 12.46 deg, rel. 48
- 25.28 deg, rel. 100
- 32.04 deg, rel. 43
- 34.34 deg, rel. 26
- 35.11 deg, rel. 22
- 37.11 deg, rel. 23
- 37.68 deg, rel. 21
- 41.93 deg, rel. 19

***

Structure and calculated powder diffractogram of LiTb2Bi (a GGA-PBE-relaxed structure; a wavelength of 1.5418 Å).
Peak positions follow from Bragg's law for the DFT cell and can differ from measured ones.

Crystal structure
Cell lengths 6.8699, 8.6142, 7.2205 Å; angles 90.00, 90.00, 90.00 degrees
Space group Imma (No. 74)
Symmetry-distinct sites (fractional):
Li 0.0000 0.2500 0.0384 x4
Tb 0.2500 0.0236 0.7500 x8
Bi 0.0000 0.2500 0.4609 x4

Peak list (8 most intense, 2θ from 10° to 90°, low angle first)
- 17.82 deg, rel. 65
- 27.38 deg, rel. 48
- 32.36 deg, rel. 98
- 33.36 deg, rel. 100
- 36.09 deg, rel. 78
- 41.95 deg, rel. 28
- 56.51 deg, rel. 34
- 63.78 deg, rel. 28

***

Structure and calculated powder diffractogram of Li2TbY2Bi2 (a GGA-PBE-relaxed structure; a wavelength of 1.5418 Å).
Peak positions follow from Bragg's law for the DFT cell and can differ from measured ones.

Crystal structure
Cell lengths 4.8846, 4.8846, 26.6272 Å; angles 90.00, 90.00, 120.00 degrees
Space group R-3m (No. 166, hexagonal axes)
Symmetry-distinct sites (fractional):
Li 0.0000 0.0000 0.0907 x6
Tb 0.0000 0.0000 0.5000 x3
Y 0.0000 0.0000 0.3689 x6
Bi 0.0000 0.0000 0.2340 x6

Peak list (8 most intense, 2θ from 10° to 90°, low angle first)
- 21.27 deg, rel. 38
- 22.05 deg, rel. 40
- 24.94 deg, rel. 56
- 31.63 deg, rel. 89
- 34.28 deg, rel. 79
- 36.80 deg, rel. 100
- 49.30 deg, rel. 26
- 64.94 deg, rel. 38

***

Structure and calculated powder diffractogram of LiBiTe2 (a GGA-PBE-relaxed structure; a wavelength of 1.5418 Å).
Peak positions follow from Bragg's law for the DFT cell and can differ from measured ones.

Crystal structure
Cell lengths 6.6529, 6.6529, 13.8384 Å; angles 90.00, 90.00, 90.00 degrees
Space group I-42d (No. 122)
Symmetry-distinct sites (fractional):
Li 0.0000 0.0000 0.0000 x4
Bi 0.0000 0.0000 0.5000 x4
Te 0.2168 0.2500 0.1250 x8

Peak list (8 most intense, 2θ from 10° to 90°, low angle first)
- 14.77 deg, rel. 34
- 22.86 deg, rel. 100
- 23.47 deg, rel. 25
- 30.74 deg, rel. 28
- 37.51 deg, rel. 54
- 38.26 deg, rel. 25
- 45.04 deg, rel. 30
- 68.69 deg, rel. 18

***

Structure and calculated powder diffractogram of LiBi5Te8 (a GGA-PBE-relaxed structure; a wavelength of 1.5418 Å).
Peak positions follow from Bragg's law for the DFT cell and can differ from measured ones.

Crystal structure
Cell lengths 12.9945, 12.9945, 12.9945 Å; angles 90.00, 90.00, 90.00 degrees
Space group F-43m (No. 216)
Symmetry-distinct sites (fractional):
Li 0.0000 0.0000 0.0000 x4
Bi 0.1310 0.1310 0.3690 x16
Bi 0.2500 0.2500 0.7500 x4
Te 0.1157 0.1157 0.6157 x16
Te 0.1292 0.1292 0.1292 x16

Peak list (8 most intense, 2θ from 10° to 90°, low angle first)
- 11.80 deg, rel. 34
- 22.70 deg, rel. 62
- 27.46 deg, rel. 82
- 35.91 deg, rel. 40
- 39.22 deg, rel. 100
- 48.54 deg, rel. 22
- 64.10 deg, rel. 26
- 71.08 deg, rel. 32

***

Structure and calculated powder diffractogram of Li3TlBi (a GGA-PBE-relaxed structure; a wavelength of 1.5418 Å).
Peak positions follow from Bragg's law for the DFT cell and can differ from measured ones.

Crystal structure
Cell lengths 6.8306, 4.6465, 7.4830 Å; angles 90.00, 107.76, 90.00 degrees
Space group P2_1/m (No. 11)
Symmetry-distinct sites (fractional):
Li 0.0662 0.2500 0.1021 x2
Li 0.3488 0.2500 0.4533 x2
Li 0.3944 0.7500 0.8231 x2
Tl 0.0600 0.2500 0.6607 x2
Bi 0.3334 0.7500 0.1950 x2

Peak list (8 most intense, 2θ from 10° to 90°, low angle first)
- 21.11 deg, rel. 26
- 22.85 deg, rel. 100
- 24.99 deg, rel. 19
- 26.42 deg, rel. 42
- 33.63 deg, rel. 36
- 36.72 deg, rel. 40
- 37.63 deg, rel. 28
- 38.76 deg, rel. 19

***

Structure and calculated powder diffractogram of LiTl3Bi2 (a GGA-PBE-relaxed structure; a wavelength of 1.5418 Å).
Peak positions follow from Bragg's law for the DFT cell and can differ from measured ones.

Crystal structure
Cell lengths 5.6659, 17.6532, 3.5278 Å; angles 90.00, 90.00, 90.00 degrees
Space group Cmmm (No. 65)
Symmetry-distinct sites (fractional):
Li 0.0000 0.0000 0.0000 x2
Tl 0.0000 0.3132 0.0000 x4
Tl 0.0000 0.5000 0.5000 x2
Bi 0.0000 0.1357 0.5000 x4

Peak list (8 most intense, 2θ from 10° to 90°, low angle first)
- 27.22 deg, rel. 18
- 29.82 deg, rel. 44
- 30.38 deg, rel. 16
- 31.58 deg, rel. 36
- 33.58 deg, rel. 100
- 48.67 deg, rel. 19
- 57.53 deg, rel. 22
- 59.18 deg, rel. 22

***

Structure and calculated powder diffractogram of LiTl12Bi6 (a GGA-PBE-relaxed structure; a wavelength of 1.5418 Å).
Peak positions follow from Bragg's law for the DFT cell and can differ from measured ones.

Crystal structure
Cell lengths 11.9476, 11.9476, 14.9108 Å; angles 90.00, 90.00, 120.00 degrees
Space group R-3 (No. 148, hexagonal axes)
Symmetry-distinct sites (fractional):
Li 0.0000 0.0000 0.0000 x3
Tl 0.0439 0.8614 0.8067 x18
Tl 0.0658 0.2231 0.4150 x18
Bi 0.0502 0.6021 0.7095 x18

Peak list (8 most intense, 2θ from 10° to 90°, low angle first)
- 25.72 deg, rel. 21
- 31.21 deg, rel. 45
- 31.57 deg, rel. 66
- 31.75 deg, rel. 100
- 33.20 deg, rel. 79
- 33.46 deg, rel. 53
- 54.94 deg, rel. 22
- 58.74 deg, rel. 25

***

Structure and calculated powder diffractogram of Li7Tl3Bi (a GGA-PBE-relaxed structure; a wavelength of 1.5418 Å).
Peak positions follow from Bragg's law for the DFT cell and can differ from measured ones.

Crystal structure
Cell lengths 3.2832, 28.5420, 10.6512 Å; angles 90.00, 90.00, 90.00 degrees
Space group Cmcm (No. 63)
Symmetry-distinct sites (fractional):
Li 0.0000 0.0370 0.2500 x4
Li 0.0000 0.0465 0.5322 x8
Li 0.0000 0.1369 0.6204 x8
Li 0.0000 0.2040 0.0902 x8
Tl 0.0000 0.2863 0.2500 x4
Tl 0.0000 0.3846 0.6082 x8
Bi 0.0000 0.4417 0.2500 x4

Peak list (8 most intense, 2θ from 10° to 90°, low angle first)
- 12.40 deg, rel. 26
- 16.65 deg, rel. 23
- 20.45 deg, rel. 100
- 25.86 deg, rel. 55
- 27.34 deg, rel. 38
- 32.56 deg, rel. 34
- 37.44 deg, rel. 33
- 39.07 deg, rel. 20